This entry pairs a crystal structure of Rb4AgCl6 with its calculated X-ray powder pattern. Radiation: CuKα. Structure: a DFT-relaxed cell (GGA-PBE, Alexandria).
No peak broadening, texture or thermal motion is included.

Structure:
Lattice parameters (Å, degrees): 9.0020 9.0020 9.0502 90.00 90.00 90.00
Atoms (fractional coordinates):
Rb1 0.1652 0.3348 0.2500
Rb2 0.1652 0.3348 0.7500
Rb3 0.3348 0.8348 0.2500
Rb4 0.3348 0.8348 0.7500
Rb5 0.6652 0.1652 0.2500
Rb6 0.6652 0.1652 0.7500
Rb7 0.8348 0.6652 0.2500
Rb8 0.8348 0.6652 0.7500
Ag1 0.0000 0.0000 0.0000
Ag2 0.5000 0.5000 0.5000
Cl1 0.0000 0.0000 0.2694
Cl2 0.0000 0.0000 0.7306
Cl3 0.1031 0.6978 0.0000
Cl4 0.1978 0.6031 0.5000
Cl5 0.3022 0.1031 0.0000
Cl6 0.3969 0.1978 0.5000
Cl7 0.5000 0.5000 0.2306
Cl8 0.5000 0.5000 0.7694
Cl9 0.6031 0.8022 0.5000
Cl10 0.6978 0.8969 0.0000
Cl11 0.8022 0.3969 0.5000
Cl12 0.8969 0.3022 0.0000

Largest 12 diffraction maxima, in order of rising 2θ, 5° ≤ 2θ ≤ 70°:
d (Å), Position (°2θ), intensity
6.381, 13.9, 52
4.026, 22.1, 22
3.187, 28.0, 26
3.008, 29.7, 100
2.860, 31.3, 10
2.847, 31.4, 66
2.263, 39.8, 19
2.183, 41.4, 10
2.013, 45.0, 17
1.966, 46.2, 17
1.922, 47.3, 19
1.771, 51.6, 30

***

This entry pairs a crystal structure of RbAg2Cl6 with its calculated X-ray powder pattern. Radiation: CuKα. Structure: a DFT-relaxed cell (GGA-PBE, Alexandria).
No peak broadening, texture or thermal motion is included.

Structure:
Lattice parameters (Å, degrees): 6.7768 6.7768 7.1470 90.00 90.00 120.00
Atoms (fractional coordinates):
Rb1 0.0000 0.0000 0.0000
Ag1 0.3333 0.6667 0.5000
Ag2 0.6667 0.3333 0.5000
Cl1 0.0000 0.3814 0.7059
Cl2 0.0000 0.6186 0.2941
Cl3 0.3814 0.0000 0.7059
Cl4 0.3814 0.3814 0.2941
Cl5 0.6186 0.0000 0.2941
Cl6 0.6186 0.6186 0.7059

Largest 12 diffraction maxima, in order of rising 2θ, 5° ≤ 2θ ≤ 70°:
d (Å), Position (°2θ), intensity
7.147, 12.4, 44
4.536, 19.6, 100
3.388, 26.3, 24
3.062, 29.2, 34
2.715, 33.0, 19
2.459, 36.5, 76
2.119, 42.7, 27
1.956, 46.4, 25
1.949, 46.6, 12
1.850, 49.3, 13
1.587, 58.1, 13
1.531, 60.5, 13

***

This entry pairs a crystal structure of RbAg5Cl8 with its calculated X-ray powder pattern. Radiation: CuKα. Structure: a DFT-relaxed cell (GGA-PBE, Alexandria).
No peak broadening, texture or thermal motion is included.

Structure:
Lattice parameters (Å, degrees): 4.2253 9.2529 9.8009 75.18 78.99 83.97
Atoms (fractional coordinates):
Rb1 0.0000 0.0000 0.0000
Ag1 0.0864 0.4602 0.6882
Ag2 0.2176 0.8327 0.5859
Ag3 0.4991 0.4999 0.0004
Ag4 0.7803 0.1668 0.4150
Ag5 0.9123 0.5397 0.3124
Cl1 0.1345 0.6663 0.8392
Cl2 0.2736 0.0008 0.3316
Cl3 0.2831 0.3408 0.4763
Cl4 0.4548 0.6911 0.1480
Cl5 0.5436 0.3086 0.8527
Cl6 0.7149 0.6588 0.5245
Cl7 0.7241 0.9988 0.6692
Cl8 0.8635 0.3333 0.1616

Largest 12 diffraction maxima, in order of rising 2θ, 5° ≤ 2θ ≤ 70°:
d (Å), Position (°2θ), intensity
8.930, 9.9, 87
4.620, 19.2, 63
3.698, 24.1, 69
3.271, 27.3, 100
2.901, 30.8, 61
2.539, 35.3, 67
2.333, 38.6, 52
2.306, 39.1, 67
2.098, 43.1, 62
2.065, 43.8, 53
1.924, 47.2, 57
1.885, 48.3, 52

***

This entry pairs a crystal structure of RbAg5Cl7 with its calculated X-ray powder pattern. Radiation: CuKα. Structure: a DFT-relaxed cell (GGA-PBE, Alexandria).
No peak broadening, texture or thermal motion is included.

Structure:
Lattice parameters (Å, degrees): 4.2298 23.1423 6.8085 90.00 102.77 90.00
Atoms (fractional coordinates):
Rb1 0.1316 0.2500 0.3736
Rb2 0.8684 0.7500 0.6264
Ag1 0.0000 0.0000 0.0000
Ag2 0.0000 0.5000 0.0000
Ag3 0.3036 0.5696 0.5797
Ag4 0.3036 0.9304 0.5797
Ag5 0.3888 0.1440 0.8797
Ag6 0.3888 0.3560 0.8797
Ag7 0.6112 0.6440 0.1203
Ag8 0.6112 0.8560 0.1203
Ag9 0.6964 0.0696 0.4203
Ag10 0.6964 0.4304 0.4203
Cl1 0.0785 0.1050 0.1467
Cl2 0.0785 0.3950 0.1467
Cl3 0.2599 0.6618 0.3858
Cl4 0.2599 0.8382 0.3858
Cl5 0.3450 0.0315 0.7234
Cl6 0.3450 0.4685 0.7234
Cl7 0.4681 0.2500 0.0006
Cl8 0.5319 0.7500 0.9994
Cl9 0.6550 0.5315 0.2766
Cl10 0.6550 0.9685 0.2766
Cl11 0.7401 0.1618 0.6142
Cl12 0.7401 0.3382 0.6142
Cl13 0.9215 0.6050 0.8533
Cl14 0.9215 0.8950 0.8533

Largest 12 diffraction maxima, in order of rising 2θ, 5° ≤ 2θ ≤ 70°:
d (Å), Position (°2θ), intensity
11.571, 7.6, 88
3.797, 23.4, 64
3.490, 25.5, 37
3.335, 26.7, 63
3.171, 28.1, 62
3.085, 28.9, 100
2.958, 30.2, 68
2.832, 31.6, 71
2.732, 32.8, 54
2.652, 33.8, 53
2.106, 42.9, 51
1.997, 45.4, 36

***

This entry pairs a crystal structure of RbAgCl3 with its calculated X-ray powder pattern. Radiation: CuKα. Structure: a DFT-relaxed cell (GGA-PBE, Alexandria).
No peak broadening, texture or thermal motion is included.

Structure:
Lattice parameters (Å, degrees): 8.5409 8.5409 9.5370 102.57 102.57 93.01
Atoms (fractional coordinates):
Rb1 0.1611 0.8389 0.7500
Rb2 0.2150 0.7850 0.2500
Rb3 0.7850 0.2150 0.7500
Rb4 0.8389 0.1611 0.2500
Ag1 0.3239 0.4109 0.8445
Ag2 0.4109 0.3239 0.3445
Ag3 0.5891 0.6761 0.6555
Ag4 0.6761 0.5891 0.1555
Cl1 0.0559 0.4052 0.0476
Cl2 0.1539 0.1900 0.6561
Cl3 0.1900 0.1539 0.1561
Cl4 0.3074 0.5883 0.5125
Cl5 0.4052 0.0559 0.5476
Cl6 0.4117 0.6926 0.9874
Cl7 0.5883 0.3074 0.0126
Cl8 0.5948 0.9441 0.4524
Cl9 0.6926 0.4117 0.4874
Cl10 0.8100 0.8461 0.8439
Cl11 0.8461 0.8100 0.3439
Cl12 0.9441 0.5948 0.9524

Largest 12 diffraction maxima, in order of rising 2θ, 5° ≤ 2θ ≤ 70°:
d (Å), Position (°2θ), intensity
8.290, 10.7, 36
4.146, 21.4, 23
3.873, 23.0, 20
3.492, 25.5, 100
3.427, 26.0, 24
3.331, 26.8, 44
3.070, 29.1, 42
2.795, 32.0, 38
2.768, 32.3, 26
2.543, 35.3, 38
2.092, 43.3, 27
1.951, 46.5, 22

***

This entry pairs a crystal structure of RbScAgCl6 with its calculated X-ray powder pattern. Radiation: CuKα. Structure: a DFT-relaxed cell (GGA-PBE, Alexandria).
No peak broadening, texture or thermal motion is included.

Structure:
Lattice parameters (Å, degrees): 6.6478 6.6518 7.2517 92.06 92.14 115.56
Atoms (fractional coordinates):
Rb1 0.0000 0.0000 0.0000
Sc1 0.3390 0.6615 0.5005
Ag1 0.6820 0.3179 0.5002
Cl1 0.0339 0.3608 0.6748
Cl2 0.0517 0.6329 0.2735
Cl3 0.3688 0.9478 0.7284
Cl4 0.4013 0.3716 0.2945
Cl5 0.6287 0.5979 0.7063
Cl6 0.6391 0.9664 0.3258

Largest 12 diffraction maxima, in order of rising 2θ, 5° ≤ 2θ ≤ 70°:
d (Å), Position (°2θ), intensity
7.235, 12.2, 82
4.751, 18.7, 100
4.487, 19.8, 91
4.441, 20.0, 94
3.268, 27.3, 31
2.977, 30.0, 41
2.826, 31.7, 29
2.621, 34.2, 64
2.484, 36.2, 34
2.407, 37.4, 49
2.404, 37.4, 47
1.996, 45.4, 46

***

This entry pairs a crystal structure of RbSmAg2Cl8 with its calculated X-ray powder pattern. Radiation: CuKα. Structure: a DFT-relaxed cell (GGA-PBE, Alexandria).
No peak broadening, texture or thermal motion is included.

Structure:
Lattice parameters (Å, degrees): 8.8749 8.8749 8.8749 134.79 134.79 65.86
Atoms (fractional coordinates):
Rb1 0.0000 0.0000 0.0000
Sm1 0.2500 0.7500 0.5000
Ag1 0.5000 0.5000 0.0000
Ag2 0.7500 0.2500 0.5000
Cl1 0.2792 0.6940 0.1597
Cl2 0.3060 0.4657 0.5851
Cl3 0.4005 0.0198 0.0376
Cl4 0.5343 0.1194 0.8403
Cl5 0.6372 0.5995 0.6193
Cl6 0.8806 0.7208 0.4149
Cl7 0.9802 0.0179 0.3807
Cl8 0.9821 0.3628 0.9624

Largest 12 diffraction maxima, in order of rising 2θ, 5° ≤ 2θ ≤ 70°:
d (Å), Position (°2θ), intensity
4.049, 22.0, 100
3.725, 23.9, 15
3.411, 26.1, 14
2.989, 29.9, 10
2.948, 30.3, 9
2.516, 35.7, 37
2.412, 37.3, 19
2.208, 40.9, 26
2.072, 43.7, 44
2.025, 44.8, 17
1.635, 56.3, 12
1.629, 56.5, 13

***

This entry pairs a crystal structure of Rb4AgSn3Cl12 with its calculated X-ray powder pattern. Radiation: CuKα. Structure: a DFT-relaxed cell (GGA-PBE, Alexandria).
No peak broadening, texture or thermal motion is included.

Structure:
Lattice parameters (Å, degrees): 9.4563 9.4563 9.4563 109.47 109.47 109.47
Atoms (fractional coordinates):
Rb1 0.0000 0.0000 0.5000
Rb2 0.0000 0.5000 0.0000
Rb3 0.5000 0.0000 0.0000
Rb4 0.5000 0.5000 0.5000
Ag1 0.0000 0.0000 0.0000
Sn1 0.0000 0.5000 0.5000
Sn2 0.5000 0.0000 0.5000
Sn3 0.5000 0.5000 0.0000
Cl1 0.0000 0.2507 0.2507
Cl2 0.0000 0.7493 0.7493
Cl3 0.2500 0.5000 0.7500
Cl4 0.2500 0.7500 0.5000
Cl5 0.2507 0.0000 0.2507
Cl6 0.2507 0.2507 0.0000
Cl7 0.5000 0.2500 0.7500
Cl8 0.5000 0.7500 0.2500
Cl9 0.7493 0.0000 0.7493
Cl10 0.7493 0.7493 0.0000
Cl11 0.7500 0.2500 0.5000
Cl12 0.7500 0.5000 0.2500

Largest 12 diffraction maxima, in order of rising 2θ, 5° ≤ 2θ ≤ 70°:
d (Å), Position (°2θ), intensity
5.460, 16.2, 20
3.861, 23.0, 100
3.152, 28.3, 9
2.730, 32.8, 71
2.442, 36.8, 10
2.229, 40.5, 48
1.930, 47.1, 49
1.820, 50.1, 5
1.726, 53.0, 22
1.576, 58.6, 17
1.459, 63.8, 26
1.365, 68.8, 8